Structure and simulated powder XRD pattern of CsLi2PSe4 (a PBE-relaxed structure; a wavelength of 1.5418 Å).

Structure:
Lattice parameters (Å, degrees): 7.089 7.089 9.038 90.00 90.00 90.00
Space group I-42m (No. 121)
Symmetry-distinct sites (fractional):
Cs: 0.000 0.000 0.000 (multiplicity 2)
Li: 0.000 0.500 0.250 (multiplicity 4)
P: 0.000 0.000 0.500 (multiplicity 2)
Se: 0.181 0.181 0.356 (multiplicity 8)

Largest 12 diffraction maxima, in order of rising 2θ, 2θ = 15–90°:
| h k l | two_theta | I/Imax |
| --- | --- | --- |
| 1 1 0 | 17.69 | 638 |
| 1 1 2 | 26.56 | 1000 |
| 2 1 1 | 29.87 | 867 |
| 2 0 2 | 32.09 | 270 |
| 1 0 3 | 32.29 | 322 |
| 2 2 0 | 35.83 | 231 |
| 3 0 1 | 39.41 | 316 |
| 3 1 2 | 45.15 | 236 |
| 2 0 4 | 47.73 | 270 |
| 4 1 1 | 54.31 | 187 |
| 3 2 3 | 55.84 | 218 |
| 3 1 4 | 57.95 | 170 |


Structure and simulated powder XRD pattern of Rb3ScB2O6 (a PBE-relaxed structure; a wavelength of 1.5418 Å).

Structure:
Lattice parameters (Å, degrees): 5.4996 5.4996 7.0928 90.00 90.00 120.00
Space group P-3m1 (No. 164)
Symmetry-distinct sites (fractional):
Rb: 0.0000 0.0000 0.0000 (multiplicity 1)
Rb: 0.3333 0.6667 0.7565 (multiplicity 2)
Sc: 0.0000 0.0000 0.5000 (multiplicity 1)
B: 0.3333 0.6667 0.3257 (multiplicity 2)
O: 0.1863 0.3725 0.3239 (multiplicity 6)

Largest 12 diffraction maxima, in order of rising 2θ, 2θ = 15–90°:
| h k l | two_theta | I/Imax |
| --- | --- | --- |
| 1 0 1 | 22.49 | 513 |
| 1 0 2 | 31.45 | 1000 |
| 1 1 0 | 32.56 | 747 |
| 0 2 1 | 39.93 | 466 |
| 0 1 3 | 42.70 | 179 |
| 2 0 2 | 45.90 | 408 |
| 2 1 1 | 52.44 | 156 |
| 2 1 2 | 57.40 | 268 |
| 3 0 0 | 58.10 | 130 |
| 1 1 4 | 62.30 | 237 |
| 2 2 0 | 68.21 | 141 |
| 1 3 2 | 77.04 | 139 |


Structure and simulated powder XRD pattern of MgH10Se2O10 (a PBE-relaxed structure; a wavelength of 1.5418 Å).

Structure:
Lattice parameters (Å, degrees): 14.777 7.663 11.171 90.00 127.67 90.00
Space group C2/c (No. 15)
Symmetry-distinct sites (fractional):
Mg: 0.000 0.042 0.250 (multiplicity 4)
H: 0.060 0.385 0.333 (multiplicity 8)
H: 0.063 0.304 0.830 (multiplicity 8)
H: 0.174 0.427 0.054 (multiplicity 8)
H: 0.180 0.236 0.220 (multiplicity 8)
H: 0.228 0.482 0.973 (multiplicity 8)
Se: 0.137 0.126 0.616 (multiplicity 8)
O: 0.000 0.226 0.750 (multiplicity 4)
O: 0.000 0.307 0.250 (multiplicity 4)
O: 0.112 0.049 0.186 (multiplicity 8)
O: 0.144 0.039 0.482 (multiplicity 8)
O: 0.154 0.458 0.954 (multiplicity 8)
O: 0.211 0.358 0.228 (multiplicity 8)

Largest 12 diffraction maxima, in order of rising 2θ, 2θ = 15–90°:
| h k l | two_theta | I/Imax |
| --- | --- | --- |
| 2 0 -2 | 16.13 | 400 |
| 1 1 1 | 19.64 | 398 |
| 1 1 -2 | 20.22 | 365 |
| 3 1 -1 | 21.80 | 355 |
| 4 0 -2 | 24.14 | 474 |
| 0 2 1 | 25.33 | 443 |
| 2 2 -1 | 26.21 | 1000 |
| 1 1 2 | 28.09 | 372 |
| 1 1 -3 | 28.79 | 260 |
| 2 0 2 | 31.98 | 401 |
| 4 0 -4 | 32.61 | 588 |
| 4 2 -3 | 35.73 | 340 |


Structure and simulated powder XRD pattern of AcPrSe2Cl (a PBE-relaxed structure; a wavelength of 1.5418 Å).

Structure:
Lattice parameters (Å, degrees): 4.380 4.380 14.520 90.00 90.00 90.00
Space group P4/nmm (No. 129, origin choice 2)
Symmetry-distinct sites (fractional):
Ac: 0.250 0.250 0.099 (multiplicity 2)
Pr: 0.250 0.250 0.642 (multiplicity 2)
Se: 0.250 0.250 0.309 (multiplicity 2)
Se: 0.250 0.250 0.871 (multiplicity 2)
Cl: 0.250 0.750 0.500 (multiplicity 2)

Largest 12 diffraction maxima, in order of rising 2θ, 2θ = 15–90°:
| h k l | two_theta | I/Imax |
| --- | --- | --- |
| 1 0 2 | 23.72 | 612 |
| 0 0 4 | 24.52 | 367 |
| 1 1 0 | 28.83 | 1000 |
| 0 0 5 | 30.79 | 214 |
| 1 1 4 | 38.20 | 684 |
| 2 0 0 | 41.22 | 503 |
| 1 1 5 | 42.68 | 367 |
| 2 1 2 | 48.11 | 197 |
| 2 0 4 | 48.55 | 256 |
| 2 0 5 | 52.32 | 191 |
| 3 1 4 | 73.13 | 203 |
| 2 1 9 | 76.49 | 193 |


Structure and simulated powder XRD pattern of Ce2SnN (a PBE-relaxed structure; a wavelength of 1.5418 Å).

Structure:
Lattice parameters (Å, degrees): 4.654 4.654 9.050 90.00 90.00 90.00
Space group P4/nmm (No. 129, origin choice 2)
Symmetry-distinct sites (fractional):
Ce: 0.250 0.250 0.167 (multiplicity 2)
Ce: 0.250 0.750 0.500 (multiplicity 2)
Sn: 0.250 0.250 0.796 (multiplicity 2)
N: 0.250 0.250 0.408 (multiplicity 2)

Largest 12 diffraction maxima, in order of rising 2θ, 2θ = 15–90°:
| h k l | two_theta | I/Imax |
| --- | --- | --- |
| 1 1 0 | 27.10 | 174 |
| 1 1 1 | 28.87 | 859 |
| 0 0 3 | 29.61 | 511 |
| 1 1 2 | 33.68 | 1000 |
| 2 0 0 | 38.70 | 628 |
| 2 0 3 | 49.47 | 496 |
| 2 2 0 | 55.88 | 215 |
| 1 1 5 | 58.17 | 261 |
| 3 1 1 | 64.11 | 184 |
| 2 2 3 | 64.51 | 225 |
| 3 1 2 | 66.85 | 281 |
| 3 1 5 | 84.93 | 183 |


Structure and simulated powder XRD pattern of Sr13Li2 (a PBE-relaxed structure; a wavelength of 1.5418 Å).

Structure:
Lattice parameters (Å, degrees): 7.682 10.201 10.687 67.55 81.41 81.58
Space group P-1 (No. 2)
Symmetry-distinct sites (fractional):
Sr: 0.000 0.000 0.000 (multiplicity 1)
Sr: 0.049 0.416 0.706 (multiplicity 2)
Sr: 0.213 0.179 0.223 (multiplicity 2)
Sr: 0.257 0.595 0.944 (multiplicity 2)
Sr: 0.278 0.995 0.644 (multiplicity 2)
Sr: 0.443 0.381 0.407 (multiplicity 2)
Sr: 0.472 0.799 0.155 (multiplicity 2)
Li: 0.134 0.783 0.461 (multiplicity 2)

Largest 12 diffraction maxima, in order of rising 2θ, 2θ = 15–90°:
| h k l | two_theta | I/Imax |
| --- | --- | --- |
| 2 1 1 | 23.99 | 133 |
| 1 1 -2 | 26.59 | 580 |
| 0 2 3 | 26.83 | 976 |
| 1 -2 1 | 27.05 | 485 |
| 1 3 1 | 27.48 | 1000 |
| 1 0 4 | 37.32 | 179 |
| 3 2 0 | 38.89 | 180 |
| -1 4 2 | 39.63 | 184 |
| 0 3 -3 | 46.98 | 187 |
| 3 4 3 | 48.06 | 166 |
| -2 3 4 | 48.20 | 162 |
| 0 5 0 | 48.53 | 164 |